# Li7Pd
Calculated powder X-ray diffraction pattern, Cu Kα (λ = 1.5418 Å). Input: the PBE geometry in Alexandria.
Intensities are scaled so that the largest is 1000.

Structure:
Cell lengths 8.013, 8.013, 8.013 Å; angles 32.84, 32.84, 32.84 degrees
Atoms (fractional coordinates):
Li  0.000  0.000  0.000
Li  0.130  0.130  0.130
Li  0.244  0.244  0.244
Li  0.383  0.383  0.383
Li  0.617  0.617  0.617
Li  0.756  0.756  0.756
Li  0.870  0.870  0.870
Pd  0.500  0.500  0.500

The 12 most intense peaks (10° ≤ 2θ ≤ 80°), most intense first:
d/Å	2theta	I_rel
7.574	11.68	1000
3.867	23.00	605
3.709	23.99	546
3.229	27.63	381
2.301	39.15	281
2.970	30.09	276
2.265	39.79	275
2.170	41.61	263
3.787	23.49	189
2.501	35.90	183
1.944	46.72	175
1.686	54.41	114